No. 1
Theoretical X-ray powder pattern of AcGe3Rh2 for copper Kα, from DFT lattice parameters and positions (GGA-PBE).
No peak broadening, texture or thermal motion is included.

Most intense lines, 2θ = 10–90°, sorted by position:
2θ = 23.0°, rel. 270; 2θ = 27.9°, rel. 270; 2θ = 30.4°, rel. 465; 2θ = 36.5°, rel. 278; 2θ = 39.8°, rel. 1000; 2θ = 57.6°, rel. 149; 2θ = 65.2°, rel. 227; 2θ = 72.3°, rel. 199

Atomic structure:
Unit cell a=9.052 b=9.052 c=9.052 alpha=60.00 beta=60.00 gamma=60.00
Atoms (fractional coordinates):
Ac 0.000 0.000 0.000
Ac 0.000 0.000 0.500
Ac 0.000 0.500 0.000
Ac 0.500 0.000 0.000
Ge 0.174 0.174 0.576
Ge 0.174 0.576 0.174
Ge 0.174 0.576 0.576
Ge 0.424 0.424 0.826
Ge 0.424 0.826 0.424
Ge 0.424 0.826 0.826
Ge 0.576 0.174 0.174
Ge 0.576 0.174 0.576
Ge 0.576 0.576 0.174
Ge 0.826 0.424 0.424
Ge 0.826 0.424 0.826
Ge 0.826 0.826 0.424
Rh 0.253 0.253 0.253
Rh 0.253 0.253 0.742
Rh 0.253 0.742 0.253
Rh 0.258 0.747 0.747
Rh 0.742 0.253 0.253
Rh 0.747 0.258 0.747
Rh 0.747 0.747 0.258
Rh 0.747 0.747 0.747

No. 2
Theoretical X-ray powder pattern of Ac8GeRh4 for copper Kα, from DFT lattice parameters and positions (GGA-PBE).
No peak broadening, texture or thermal motion is included.

Most intense lines, 2θ = 10–90°, sorted by position:
2θ = 26.2°, rel. 458; 2θ = 27.7°, rel. 1000; 2θ = 28.4°, rel. 724; 2θ = 29.0°, rel. 416; 2θ = 32.6°, rel. 432; 2θ = 39.5°, rel. 341; 2θ = 41.5°, rel. 446; 2θ = 51.4°, rel. 320

Atomic structure:
Unit cell a=9.782 b=9.782 c=13.664 alpha=129.92 beta=129.92 gamma=25.69
Atoms (fractional coordinates):
Ac 0.000 0.000 0.000
Ac 0.005 0.005 0.563
Ac 0.075 0.075 0.353
Ac 0.279 0.279 0.850
Ac 0.350 0.350 0.640
Ac 0.354 0.354 0.203
Ac 0.635 0.635 0.909
Ac 0.719 0.719 0.294
Ge 0.677 0.677 0.601
Rh 0.355 0.355 0.425
Rh 0.503 0.503 0.150
Rh 0.852 0.852 0.053
Rh 0.999 0.999 0.778

No. 3
Theoretical X-ray powder pattern of Ac2Ge4Rh5 for copper Kα, from DFT lattice parameters and positions (GGA-PBE).
No peak broadening, texture or thermal motion is included.

Most intense lines, 2θ = 10–90°, sorted by position:
2θ = 25.4°, rel. 524; 2θ = 30.1°, rel. 596; 2θ = 31.3°, rel. 442; 2θ = 35.5°, rel. 1000; 2θ = 35.8°, rel. 899; 2θ = 39.5°, rel. 820; 2θ = 63.8°, rel. 387; 2θ = 85.0°, rel. 372

Atomic structure:
Unit cell a=8.908 b=7.892 c=5.836 alpha=79.38 beta=60.54 gamma=40.08
Atoms (fractional coordinates):
Ac 0.132 0.132 0.868
Ac 0.868 0.868 0.132
Ge 0.211 0.532 0.468
Ge 0.468 0.789 0.211
Ge 0.532 0.211 0.789
Ge 0.789 0.468 0.532
Rh 0.000 0.000 0.500
Rh 0.250 0.250 0.250
Rh 0.500 0.500 0.000
Rh 0.500 0.500 0.500
Rh 0.750 0.750 0.750

No. 4
Theoretical X-ray powder pattern of Ac3Ge9Ru2 for copper Kα, from DFT lattice parameters and positions (GGA-PBE).
No peak broadening, texture or thermal motion is included.

Most intense lines, 2θ = 10–90°, sorted by position:
2θ = 29.7°, rel. 253; 2θ = 31.6°, rel. 482; 2θ = 31.8°, rel. 188; 2θ = 32.1°, rel. 365; 2θ = 33.8°, rel. 1000; 2θ = 41.7°, rel. 427; 2θ = 58.0°, rel. 223; 2θ = 71.2°, rel. 196

Atomic structure:
Unit cell a=8.691 b=8.691 c=8.691 alpha=151.17 beta=99.33 gamma=87.81
Atoms (fractional coordinates):
Ac 0.000 0.000 0.000
Ac 0.317 0.317 0.000
Ac 0.683 0.683 0.000
Ge 0.021 0.660 0.360
Ge 0.164 0.881 0.282
Ge 0.300 0.660 0.640
Ge 0.401 0.119 0.282
Ge 0.500 0.000 0.500
Ge 0.599 0.881 0.718
Ge 0.700 0.340 0.360
Ge 0.836 0.119 0.718
Ge 0.979 0.340 0.640
Ru 0.277 0.500 0.777
Ru 0.723 0.500 0.223

No. 5
Theoretical X-ray powder pattern of Ac3Ge7Ru2 for copper Kα, from DFT lattice parameters and positions (GGA-PBE).
No peak broadening, texture or thermal motion is included.

Most intense lines, 2θ = 10–90°, sorted by position:
2θ = 28.0°, rel. 309; 2θ = 32.6°, rel. 1000; 2θ = 33.3°, rel. 327; 2θ = 36.3°, rel. 200; 2θ = 39.6°, rel. 323; 2θ = 39.8°, rel. 317; 2θ = 52.9°, rel. 264; 2θ = 57.4°, rel. 218

Atomic structure:
Unit cell a=4.525 b=4.556 c=13.510 alpha=90.00 beta=99.58 gamma=90.00
Atoms (fractional coordinates):
Ac 0.000 0.000 0.000
Ac 0.317 0.500 0.633
Ac 0.683 0.500 0.367
Ge 0.089 0.500 0.177
Ge 0.219 0.000 0.440
Ge 0.412 0.000 0.824
Ge 0.500 0.500 0.000
Ge 0.588 0.000 0.176
Ge 0.781 0.000 0.560
Ge 0.911 0.500 0.823
Ru 0.127 0.000 0.254
Ru 0.873 0.000 0.746

No. 6
Theoretical X-ray powder pattern of Ac3Ge8Ru3 for copper Kα, from DFT lattice parameters and positions (GGA-PBE).
No peak broadening, texture or thermal motion is included.

Most intense lines, 2θ = 10–90°, sorted by position:
2θ = 29.8°, rel. 311; 2θ = 32.0°, rel. 494; 2θ = 32.7°, rel. 535; 2θ = 34.1°, rel. 1000; 2θ = 41.5°, rel. 363; 2θ = 41.9°, rel. 178; 2θ = 53.8°, rel. 267; 2θ = 59.3°, rel. 180

Atomic structure:
Unit cell a=8.556 b=8.556 c=8.556 alpha=150.54 beta=100.42 gamma=87.05
Atoms (fractional coordinates):
Ac 0.000 0.000 0.000
Ac 0.317 0.317 0.000
Ac 0.683 0.683 0.000
Ge 0.014 0.659 0.355
Ge 0.179 0.884 0.294
Ge 0.303 0.659 0.645
Ge 0.410 0.116 0.294
Ge 0.590 0.884 0.706
Ge 0.697 0.341 0.355
Ge 0.821 0.116 0.706
Ge 0.986 0.341 0.645
Ru 0.291 0.500 0.791
Ru 0.500 0.000 0.500
Ru 0.709 0.500 0.209

No. 7
Theoretical X-ray powder pattern of Ac3Ge3Ru for copper Kα, from DFT lattice parameters and positions (GGA-PBE).
No peak broadening, texture or thermal motion is included.

Most intense lines, 2θ = 10–90°, sorted by position:
2θ = 24.4°, rel. 332; 2θ = 29.9°, rel. 392; 2θ = 29.9°, rel. 1000; 2θ = 30.6°, rel. 599; 2θ = 30.8°, rel. 745; 2θ = 34.1°, rel. 328; 2θ = 37.2°, rel. 466; 2θ = 39.6°, rel. 525

Atomic structure:
Unit cell a=6.402 b=6.402 c=15.130 alpha=110.71 beta=110.71 gamma=41.63
Atoms (fractional coordinates):
Ac 0.026 0.026 0.383
Ac 0.099 0.099 0.918
Ac 0.248 0.248 0.230
Ac 0.752 0.752 0.770
Ac 0.901 0.901 0.082
Ac 0.974 0.974 0.617
Ge 0.342 0.342 0.452
Ge 0.390 0.390 0.926
Ge 0.439 0.439 0.753
Ge 0.561 0.561 0.247
Ge 0.610 0.610 0.074
Ge 0.658 0.658 0.548
Ru 0.261 0.261 0.582
Ru 0.739 0.739 0.418

No. 8
Theoretical X-ray powder pattern of Ac2Ge5Ru3 for copper Kα, from DFT lattice parameters and positions (GGA-PBE).
No peak broadening, texture or thermal motion is included.

Most intense lines, 2θ = 10–90°, sorted by position:
2θ = 22.0°, rel. 284; 2θ = 27.9°, rel. 206; 2θ = 33.0°, rel. 604; 2θ = 33.2°, rel. 1000; 2θ = 34.3°, rel. 696; 2θ = 41.0°, rel. 729; 2θ = 52.8°, rel. 272; 2θ = 54.6°, rel. 246

Atomic structure:
Unit cell a=8.734 b=8.734 c=8.734 alpha=108.16 beta=85.97 gamma=139.33
Atoms (fractional coordinates):
Ac 0.135 0.230 0.365
Ac 0.365 0.730 0.095
Ac 0.635 0.270 0.905
Ac 0.865 0.770 0.635
Ge 0.037 0.750 0.287
Ge 0.094 0.663 0.757
Ge 0.250 0.250 0.000
Ge 0.406 0.163 0.570
Ge 0.463 0.750 0.713
Ge 0.537 0.250 0.287
Ge 0.594 0.837 0.430
Ge 0.750 0.750 0.000
Ge 0.906 0.337 0.243
Ge 0.963 0.250 0.713
Ru 0.145 0.904 0.049
Ru 0.250 0.750 0.500
Ru 0.355 0.404 0.760
Ru 0.645 0.596 0.240
Ru 0.750 0.250 0.500
Ru 0.855 0.096 0.951

No. 9
Theoretical X-ray powder pattern of AcGe2S4 for copper Kα, from DFT lattice parameters and positions (GGA-PBE).
No peak broadening, texture or thermal motion is included.

Most intense lines, 2θ = 10–90°, sorted by position:
2θ = 18.1°, rel. 1000; 2θ = 23.2°, rel. 525; 2θ = 29.6°, rel. 911; 2θ = 32.5°, rel. 672; 2θ = 33.1°, rel. 465; 2θ = 47.1°, rel. 716; 2θ = 50.4°, rel. 207; 2θ = 53.5°, rel. 213

Atomic structure:
Unit cell a=7.654 b=7.654 c=6.405 alpha=90.00 beta=90.00 gamma=90.00
Atoms (fractional coordinates):
Ac 0.000 0.000 0.000
Ac 0.500 0.500 0.500
Ge 0.000 0.500 0.250
Ge 0.000 0.500 0.750
Ge 0.500 0.000 0.250
Ge 0.500 0.000 0.750
S 0.164 0.308 0.500
S 0.192 0.664 0.000
S 0.308 0.836 0.500
S 0.336 0.192 0.000
S 0.664 0.808 0.000
S 0.692 0.164 0.500
S 0.808 0.336 0.000
S 0.836 0.692 0.500

No. 10
Theoretical X-ray powder pattern of Ac2ScGe2 for copper Kα, from DFT lattice parameters and positions (GGA-PBE).
No peak broadening, texture or thermal motion is included.

Most intense lines, 2θ = 10–90°, sorted by position:
2θ = 24.3°, rel. 719; 2θ = 30.1°, rel. 455; 2θ = 30.2°, rel. 1000; 2θ = 32.9°, rel. 490; 2θ = 33.5°, rel. 488; 2θ = 35.4°, rel. 426; 2θ = 50.3°, rel. 328; 2θ = 57.9°, rel. 379

Atomic structure:
Unit cell a=4.438 b=6.493 c=10.035 alpha=90.00 beta=90.00 gamma=90.00
Atoms (fractional coordinates):
Ac 0.000 0.000 0.199
Ac 0.000 0.000 0.801
Ac 0.500 0.500 0.301
Ac 0.500 0.500 0.699
Sc 0.000 0.500 0.000
Sc 0.500 0.000 0.500
Ge 0.000 0.266 0.500
Ge 0.000 0.734 0.500
Ge 0.500 0.234 0.000
Ge 0.500 0.766 0.000

No. 11
Theoretical X-ray powder pattern of AcScGe for copper Kα, from DFT lattice parameters and positions (GGA-PBE).
No peak broadening, texture or thermal motion is included.

Most intense lines, 2θ = 10–90°, sorted by position:
2θ = 25.5°, rel. 1000; 2θ = 28.3°, rel. 775; 2θ = 30.3°, rel. 552; 2θ = 33.4°, rel. 802; 2θ = 35.6°, rel. 483; 2θ = 40.5°, rel. 557; 2θ = 48.5°, rel. 372; 2θ = 53.4°, rel. 429

Atomic structure:
Unit cell a=4.459 b=4.459 c=16.817 alpha=90.00 beta=90.00 gamma=90.00
Atoms (fractional coordinates):
Ac 0.000 0.000 0.174
Ac 0.000 0.000 0.826
Ac 0.500 0.500 0.326
Ac 0.500 0.500 0.674
Sc 0.000 0.500 0.000
Sc 0.000 0.500 0.500
Sc 0.500 0.000 0.000
Sc 0.500 0.000 0.500
Ge 0.000 0.000 0.387
Ge 0.000 0.000 0.613
Ge 0.500 0.500 0.113
Ge 0.500 0.500 0.887

No. 12
Theoretical X-ray powder pattern of AcGe2Se4 for copper Kα, from DFT lattice parameters and positions (GGA-PBE).
No peak broadening, texture or thermal motion is included.

Most intense lines, 2θ = 10–90°, sorted by position:
2θ = 17.5°, rel. 466; 2θ = 28.6°, rel. 1000; 2θ = 31.5°, rel. 351; 2θ = 31.9°, rel. 399; 2θ = 45.5°, rel. 590; 2θ = 48.8°, rel. 245; 2θ = 60.0°, rel. 190; 2θ = 75.7°, rel. 189

Atomic structure:
Unit cell a=7.923 b=7.923 c=6.589 alpha=90.00 beta=90.00 gamma=90.00
Atoms (fractional coordinates):
Ac 0.000 0.000 0.000
Ac 0.500 0.500 0.500
Ge 0.000 0.500 0.250
Ge 0.000 0.500 0.750
Ge 0.500 0.000 0.250
Ge 0.500 0.000 0.750
Se 0.164 0.702 0.500
Se 0.202 0.336 0.000
Se 0.298 0.164 0.500
Se 0.336 0.798 0.000
Se 0.664 0.202 0.000
Se 0.702 0.836 0.500
Se 0.798 0.664 0.000
Se 0.836 0.298 0.500

> Which formula does entry 3 have?

Ac2Ge4Rh5